Record 1
The following is a calculated powder diffractogram of LaGd2Mg3In3. It was derived from the PBE geometry in OQMD, using Cu Kα, 1.54184 Å.
Intensities are scaled so that the largest is 100.

Most intense lines, 2θ from 10° to 90°, sorted by position:
d 3.305, 27.0°, rel. 21
d 2.988, 29.9°, rel. 52
d 2.966, 30.1°, rel. 29
d 2.734, 32.8°, rel. 44
d 2.712, 33.0°, rel. 100
d 2.372, 37.9°, rel. 35
d 2.204, 41.0°, rel. 21
d 1.925, 47.2°, rel. 20

Atomic structure:
a = 4.7433 Å, b = 7.6963 Å, c = 7.6963 Å
α = 120.82°, β = 90.00°, γ = 90.00°
Sites, in units of the cell vectors:
La1 0.0000 0.0000 0.0000
Gd1 0.0000 0.4315 0.8602
Gd2 0.0000 0.8602 0.4315
Mg1 0.5000 0.1909 0.4334
Mg2 0.5000 0.4334 0.1909
Mg3 0.5000 0.6753 0.6753
In1 0.0000 0.4408 0.4408
In2 0.5000 0.1025 0.7603
In3 0.5000 0.7603 0.1025

***

Record 2
The following is a calculated powder diffractogram of LaGd2In3Ni3. It was derived from the PBE geometry in OQMD, using Cu Kα, 1.54184 Å.
Intensities are scaled so that the largest is 100.

Most intense lines, 2θ from 10° to 90°, sorted by position:
d 2.717, 33.0°, rel. 47
d 2.705, 33.1°, rel. 100
d 2.505, 35.8°, rel. 80
d 2.492, 36.0°, rel. 36
d 2.472, 36.3°, rel. 29
d 2.456, 36.6°, rel. 28
d 2.447, 36.7°, rel. 28
d 1.956, 46.4°, rel. 32

Atomic structure:
a = 3.9113 Å, b = 7.4883 Å, c = 7.4883 Å
α = 119.40°, β = 90.00°, γ = 90.00°
Sites, in units of the cell vectors:
La1 0.0000 0.0000 0.0000
Gd1 0.0000 0.1721 0.5828
Gd2 0.0000 0.5828 0.1721
In1 0.5000 0.3418 0.3418
In2 0.5000 0.5766 0.8329
In3 0.5000 0.8329 0.5766
Ni1 0.0000 0.5848 0.5848
Ni2 0.5000 0.2504 0.9170
Ni3 0.5000 0.9170 0.2504